Calculated powder X-ray diffraction pattern
Compound: KBaTl4Pt2
Radiation: Cu Kα X-rays
Structure: a cell relaxed with PBE
Peak positions follow from Bragg's law for the DFT cell and can differ from measured ones.

```
data_KBaTl4Pt2
_symmetry_space_group_name_H-M 'A m m 2'
_symmetry_Int_Tables_number 38
_cell_length_a 8.5245
_cell_length_b 4.5191
_cell_length_c 11.8320
_cell_angle_alpha 90.00
_cell_angle_beta 90.00
_cell_angle_gamma 90.00
loop_
_symmetry_equiv_pos_as_xyz
'x,y,z'
'-x,-y,z'
'-x,y,z'
'x,-y,z'
'x,y+1/2,z+1/2'
'-x,-y+1/2,z+1/2'
'-x,y+1/2,z+1/2'
'x,-y+1/2,z+1/2'
loop_
_atom_site_label
_atom_site_fract_x
_atom_site_fract_y
_atom_site_fract_z
_atom_site_occupancy
K1 0.0000 0.0000 0.0000 1
Ba1 0.5000 0.0000 0.1131 1
Tl1 0.1921 0.0000 0.7106 1
Tl2 0.2969 0.0000 0.4037 1
Pt1 0.0000 0.0000 0.2786 1
Pt2 0.5000 0.0000 0.8283 1
```

Most intense lines, 5° ≤ 2θ ≤ 70°, by angle:
2theta, I/Imax, index
14.98, 86, 0 0 2
29.79, 87, 2 1 1
30.07, 60, 0 1 3
31.89, 67, 1 1 3
32.03, 34, 1 0 4
35.03, 32, 3 0 2
36.87, 73, 2 1 3
36.99, 48, 2 0 4
38.18, 100, 3 1 1
39.90, 54, 0 2 0
55.53, 30, 2 2 4
58.29, 32, 0 1 7


Calculated powder X-ray diffraction pattern
Compound: DyYTl2Zn2
Radiation: Cu Kα X-rays
Structure: a cell relaxed with PBE
Peak positions follow from Bragg's law for the DFT cell and can differ from measured ones.

```
data_DyYTl2Zn2
_symmetry_space_group_name_H-M 'P 3 m 1'
_symmetry_Int_Tables_number 156
_cell_length_a 4.6815
_cell_length_b 4.6815
_cell_length_c 7.3691
_cell_angle_alpha 90.00
_cell_angle_beta 90.00
_cell_angle_gamma 120.00
loop_
_symmetry_equiv_pos_as_xyz
'x,y,z'
'-y,x-y,z'
'-x+y,-x,z'
'-y,-x,z'
'-x+y,y,z'
'x,x-y,z'
loop_
_atom_site_label
_atom_site_fract_x
_atom_site_fract_y
_atom_site_fract_z
_atom_site_occupancy
Dy1 0.0000 0.0000 0.0000 1
Y1 0.0000 0.0000 0.5000 1
Tl1 0.3333 0.6667 0.7793 1
Tl2 0.6667 0.3333 0.2792 1
Zn1 0.3333 0.6667 0.1969 1
Zn2 0.6667 0.3333 0.6970 1
```

Most intense lines, 5° ≤ 2θ ≤ 70°, by angle:
2theta, I/Imax, index
25.07, 52, 1 0 1
32.85, 100, 1 0 2
38.46, 84, 1 1 0
43.06, 27, 0 1 3
45.93, 10, 1 1 2
46.46, 10, 0 2 1
51.45, 28, 0 2 2
59.09, 11, 2 0 3
64.35, 21, 1 1 4
66.03, 26, 2 1 2
67.64, 11, 1 0 5
69.56, 15, 3 0 0


Calculated powder X-ray diffraction pattern
Compound: TbY2Tl3AgPt2
Radiation: Cu Kα X-rays
Structure: a cell relaxed with PBE
Peak positions follow from Bragg's law for the DFT cell and can differ from measured ones.

```
data_TbY2Tl3AgPt2
_symmetry_space_group_name_H-M 'A m m 2'
_symmetry_Int_Tables_number 38
_cell_length_a 3.7767
_cell_length_b 13.7474
_cell_length_c 7.9467
_cell_angle_alpha 90.00
_cell_angle_beta 90.00
_cell_angle_gamma 90.00
loop_
_symmetry_equiv_pos_as_xyz
'x,y,z'
'-x,-y,z'
'-x,y,z'
'x,-y,z'
'x,y+1/2,z+1/2'
'-x,-y+1/2,z+1/2'
'-x,y+1/2,z+1/2'
'x,-y+1/2,z+1/2'
loop_
_atom_site_label
_atom_site_fract_x
_atom_site_fract_y
_atom_site_fract_z
_atom_site_occupancy
Tb1 0.0000 0.0000 0.0000 1
Y1 0.0000 0.2048 0.3850 1
Tl1 0.5000 0.0000 0.3197 1
Tl2 0.5000 0.1353 0.7249 1
Ag1 0.0000 0.0000 0.5898 1
Pt1 0.5000 0.1663 0.0894 1
```

Most intense lines, 5° ≤ 2θ ≤ 70°, by angle:
2theta, I/Imax, index
22.39, 16, 0 0 2
23.56, 22, 1 0 0
32.72, 100, 1 0 2
34.50, 55, 0 1 3
35.30, 84, 1 4 0
39.30, 62, 0 6 0
42.20, 44, 1 4 2
46.33, 19, 1 3 3
48.19, 24, 2 0 0
60.61, 22, 2 1 3
63.88, 45, 2 6 0
63.96, 27, 1 8 2


Calculated powder X-ray diffraction pattern
Compound: ScAlHg2
Radiation: Cu Kα X-rays
Structure: a cell relaxed with PBE
Peak positions follow from Bragg's law for the DFT cell and can differ from measured ones.

```
data_ScAlHg2
_symmetry_space_group_name_H-M 'C m c m'
_symmetry_Int_Tables_number 63
_symmetry_space_group_name_Hall '-C 2c 2'
_cell_length_a 6.3241
_cell_length_b 10.7579
_cell_length_c 4.8174
_cell_angle_alpha 90.00
_cell_angle_beta 90.00
_cell_angle_gamma 90.00
loop_
_atom_site_label
_atom_site_fract_x
_atom_site_fract_y
_atom_site_fract_z
_atom_site_occupancy
Sc1 0.0000 0.1633 0.2500 1
Al1 0.0000 0.3442 0.7500 1
Hg1 0.2492 0.4049 0.2500 1
```

Most intense lines, 5° ≤ 2θ ≤ 70°, by angle:
2theta, I/Imax, index
16.48, 13, 0 2 0
24.81, 72, 0 2 1
28.22, 30, 2 0 0
33.31, 21, 0 4 0
37.33, 30, 0 0 2
37.92, 100, 2 2 1
38.33, 27, 0 4 1
47.45, 15, 2 0 2
48.27, 13, 2 4 1
50.90, 18, 0 4 2
59.23, 22, 2 6 0
67.72, 18, 2 2 3